Starting from a cell relaxed with GGA-PBE, the PXRD pattern of Er4ZnOs was simulated for copper Kα.

Most intense lines, 2θ = 10–90°, most intense first:
2theta	I (rel.)
35.0	100
38.2	47
32.9	42
58.8	40
29.2	25
11.5	19

Structure:
Lattice parameters (Å, degrees): 9.430 9.430 9.430 60.00 60.00 60.00
Positions (direct):
Er: 0.191 0.191 0.809
Er: 0.191 0.809 0.191
Er: 0.191 0.809 0.809
Er: 0.400 0.400 0.400
Er: 0.400 0.400 0.801
Er: 0.400 0.801 0.400
Er: 0.557 0.557 0.943
Er: 0.557 0.943 0.557
Er: 0.557 0.943 0.943
Er: 0.801 0.400 0.400
Er: 0.809 0.191 0.191
Er: 0.809 0.191 0.809
Er: 0.809 0.809 0.191
Er: 0.943 0.557 0.557
Er: 0.943 0.557 0.943
Er: 0.943 0.943 0.557
Zn: 0.173 0.173 0.173
Zn: 0.173 0.173 0.481
Zn: 0.173 0.481 0.173
Zn: 0.481 0.173 0.173
Os: 0.170 0.610 0.610
Os: 0.610 0.170 0.610
Os: 0.610 0.610 0.170
Os: 0.610 0.610 0.610